(1)
This entry pairs a crystal structure of AlZn3Te4 with its calculated X-ray diffraction stick pattern. Radiation: Cu Kα (weighted mean of Kα1 and Kα2). Structure: a crystal structure in Alexandria, relaxed with GGA-PBE.
Kinematic intensities with the Lorentz-polarization factor, no thermal factor.

Structure:
Cell: 7.6936 7.6936 7.6936 Å, 131.56 131.56 70.93°
Element x y z (fractional)
Al: 0.0000 0.0000 0.0000
Zn: 0.2500 0.7500 0.5000
Zn: 0.5000 0.5000 0.0000
Zn: 0.7500 0.2500 0.5000
Te: 0.1258 0.1258 0.5021
Te: 0.3763 0.8742 0.0000
Te: 0.6237 0.6237 0.4979
Te: 0.8742 0.3763 0.0000

Main lines, most intense first (5 to 70 degrees two-theta):
24.48°, 3.636 Å, intensity 100
40.57°, 2.224 Å, intensity 46
47.82°, 1.902 Å, intensity 32
40.42°, 2.232 Å, intensity 24
48.09°, 1.892 Å, intensity 16
64.58°, 1.443 Å, intensity 13
58.48°, 1.578 Å, intensity 8
28.27°, 3.156 Å, intensity 7
64.35°, 1.448 Å, intensity 6
58.96°, 1.567 Å, intensity 4
28.49°, 3.133 Å, intensity 4
50.19°, 1.818 Å, intensity 3



(2)
This entry pairs a crystal structure of Zr2AlTe with its calculated X-ray diffraction stick pattern. Radiation: Cu Kα (weighted mean of Kα1 and Kα2). Structure: a crystal structure in Alexandria, relaxed with GGA-PBE.
Kinematic intensities with the Lorentz-polarization factor, no thermal factor.

Structure:
Cell: 7.2526 7.2526 7.2526 Å, 31.69 31.69 31.69°
Element x y z (fractional)
Zr: 0.2414 0.2414 0.2414
Zr: 0.7586 0.7586 0.7586
Al: 0.5000 0.5000 0.5000
Te: 0.0000 0.0000 0.0000

Main lines, most intense first (5 to 70 degrees two-theta):
31.31°, 2.857 Å, intensity 100
43.90°, 2.062 Å, intensity 36
45.83°, 1.980 Å, intensity 35
56.55°, 1.627 Å, intensity 18
26.34°, 3.383 Å, intensity 16
33.98°, 2.638 Å, intensity 15
65.33°, 1.428 Å, intensity 11
12.86°, 6.883 Å, intensity 10
61.90°, 1.499 Å, intensity 8
53.23°, 1.721 Å, intensity 6
39.27°, 2.294 Å, intensity 5
64.67°, 1.441 Å, intensity 5



(3)
This entry pairs a crystal structure of Th3Al4 with its calculated X-ray diffraction stick pattern. Radiation: Cu Kα (weighted mean of Kα1 and Kα2). Structure: a crystal structure in Alexandria, relaxed with GGA-PBE.
Kinematic intensities with the Lorentz-polarization factor, no thermal factor.

Structure:
Cell: 10.1159 10.1159 10.1159 Å, 155.61 155.36 34.95°
Element x y z (fractional)
Th: 0.0000 0.0000 0.0000
Th: 0.1898 0.6898 0.5000
Th: 0.8102 0.3103 0.5000
Al: 0.3595 0.8595 0.5000
Al: 0.4344 0.4344 0.0000
Al: 0.5656 0.5656 0.0000
Al: 0.6405 0.1405 0.5000

Main lines, most intense first (5 to 70 degrees two-theta):
30.86°, 2.897 Å, intensity 100
25.01°, 3.560 Å, intensity 75
31.08°, 2.877 Å, intensity 66
21.09°, 4.213 Å, intensity 32
53.41°, 1.716 Å, intensity 30
48.17°, 1.889 Å, intensity 28
49.38°, 1.846 Å, intensity 25
27.74°, 3.216 Å, intensity 23
38.87°, 2.317 Å, intensity 22
41.85°, 2.158 Å, intensity 19
42.29°, 2.137 Å, intensity 18
58.44°, 1.579 Å, intensity 14



(4)
This entry pairs a crystal structure of Th5AlTl4 with its calculated X-ray diffraction stick pattern. Radiation: Cu Kα (weighted mean of Kα1 and Kα2). Structure: a crystal structure in Alexandria, relaxed with GGA-PBE.
Kinematic intensities with the Lorentz-polarization factor, no thermal factor.

Structure:
Cell: 3.5171 3.5171 23.0107 Å, 90.00 90.00 90.00°
Element x y z (fractional)
Th: 0.0000 0.0000 0.0000
Th: 0.0000 0.0000 0.2036
Th: 0.0000 0.0000 0.4097
Th: 0.0000 0.0000 0.5903
Th: 0.0000 0.0000 0.7964
Al: 0.5000 0.5000 0.5000
Tl: 0.5000 0.5000 0.1019
Tl: 0.5000 0.5000 0.3053
Tl: 0.5000 0.5000 0.6947
Tl: 0.5000 0.5000 0.8981

Main lines, most intense first (5 to 70 degrees two-theta):
32.03°, 2.794 Å, intensity 100
36.12°, 2.487 Å, intensity 38
62.39°, 1.488 Å, intensity 34
54.31°, 1.689 Å, intensity 21
52.00°, 1.759 Å, intensity 14
39.15°, 2.301 Å, intensity 13
66.97°, 1.397 Å, intensity 11
66.50°, 1.406 Å, intensity 10
29.77°, 3.001 Å, intensity 4
51.25°, 1.783 Å, intensity 3
7.68°, 11.505 Å, intensity 3
27.91°, 3.197 Å, intensity 2



(5)
This entry pairs a crystal structure of TmThAl3 with its calculated X-ray diffraction stick pattern. Radiation: Cu Kα (weighted mean of Kα1 and Kα2). Structure: a crystal structure in Alexandria, relaxed with GGA-PBE.
Kinematic intensities with the Lorentz-polarization factor, no thermal factor.

Structure:
Cell: 13.3041 13.3041 4.3106 Å, 90.00 90.00 161.75°
Element x y z (fractional)
Tm: 0.2059 0.7941 0.7500
Tm: 0.7941 0.2059 0.2500
Th: 0.0735 0.9265 0.2500
Th: 0.9265 0.0735 0.7500
Al: 0.3239 0.6761 0.7500
Al: 0.3788 0.6212 0.2500
Al: 0.4754 0.5246 0.2500
Al: 0.5246 0.4754 0.7500
Al: 0.6212 0.3788 0.7500
Al: 0.6761 0.3239 0.2500

Main lines, most intense first (5 to 70 degrees two-theta):
31.37°, 2.851 Å, intensity 100
24.70°, 3.604 Å, intensity 67
31.91°, 2.805 Å, intensity 59
21.32°, 4.167 Å, intensity 32
53.63°, 1.709 Å, intensity 28
40.20°, 2.243 Å, intensity 25
50.08°, 1.821 Å, intensity 24
48.63°, 1.872 Å, intensity 22
27.15°, 3.284 Å, intensity 20
41.92°, 2.155 Å, intensity 19
42.85°, 2.110 Å, intensity 17
60.20°, 1.537 Å, intensity 15



(6)
This entry pairs a crystal structure of Tm3Th2Al4 with its calculated X-ray diffraction stick pattern. Radiation: Cu Kα (weighted mean of Kα1 and Kα2). Structure: a crystal structure in Alexandria, relaxed with GGA-PBE.
Kinematic intensities with the Lorentz-polarization factor, no thermal factor.

Structure:
Cell: 9.0085 9.0085 8.4859 Å, 90.00 90.00 137.22°
Element x y z (fractional)
Tm: 0.0000 0.0000 0.0000
Tm: 0.0274 0.4726 0.2500
Tm: 0.4726 0.0274 0.7500
Tm: 0.5000 0.5000 0.5000
Tm: 0.5274 0.9726 0.2500
Tm: 0.9726 0.5274 0.7500
Th: 0.1041 0.8959 0.4110
Th: 0.3959 0.6041 0.9110
Th: 0.6041 0.3959 0.0890
Th: 0.8959 0.1041 0.5890
Al: 0.1736 0.8264 0.0432
Al: 0.2015 0.2985 0.2500
Al: 0.2985 0.2015 0.7500
Al: 0.3264 0.6736 0.5432
Al: 0.6736 0.3264 0.4568
Al: 0.7015 0.7985 0.2500
Al: 0.7985 0.7015 0.7500
Al: 0.8264 0.1736 0.9568

Main lines, most intense first (5 to 70 degrees two-theta):
31.75°, 2.819 Å, intensity 100
34.53°, 2.598 Å, intensity 77
23.50°, 3.786 Å, intensity 68
29.19°, 3.059 Å, intensity 51
29.72°, 3.006 Å, intensity 50
33.43°, 2.680 Å, intensity 48
31.07°, 2.878 Å, intensity 47
23.37°, 3.806 Å, intensity 43
33.75°, 2.656 Å, intensity 32
34.68°, 2.587 Å, intensity 31
53.89°, 1.701 Å, intensity 28
50.94°, 1.793 Å, intensity 27